This entry pairs a crystal structure of LiH4CSNO2 with its calculated powder diffractogram. Radiation: Cu Kα X-rays. Structure: a crystal structure in the Materials Project, relaxed with GGA-PBE.
Lines closer than 0.1° are merged.

Atomic structure:
```
LiH4CSNO2
1.0
5.8890 0.0000 0.0000
0.0000 8.3815 0.0000
0.0000 0.0000 9.9051
Li H C S N O
4 16 4 4 4 8
Direct
0.1151 0.2500 0.2131 Li
0.3849 0.7500 0.7131 Li
0.6151 0.2500 0.2869 Li
0.8849 0.7500 0.7869 Li
0.1529 0.0169 0.7694 H
0.1529 0.4831 0.7694 H
0.1871 0.5714 0.9089 H
0.1871 0.9286 0.9089 H
0.3129 0.0714 0.4089 H
0.3129 0.4286 0.4089 H
0.3471 0.5169 0.2694 H
0.3471 0.9831 0.2694 H
0.6529 0.0169 0.7306 H
0.6529 0.4831 0.7306 H
0.6871 0.5714 0.5911 H
0.6871 0.9286 0.5911 H
0.8129 0.0714 0.0911 H
0.8129 0.4286 0.0911 H
0.8471 0.5169 0.2306 H
0.8471 0.9831 0.2306 H
0.0408 0.7500 0.4680 C
0.4592 0.2500 0.9680 C
0.5408 0.7500 0.0320 C
0.9592 0.2500 0.5320 C
0.1870 0.2500 0.6279 S
0.3130 0.7500 0.1279 S
0.6870 0.2500 0.8721 S
0.8130 0.7500 0.3721 S
0.2006 0.7500 0.5402 N
0.2994 0.2500 0.0402 N
0.7006 0.7500 0.9598 N
0.7994 0.2500 0.4598 N
0.1584 0.5889 0.8127 O
0.1584 0.9111 0.8127 O
0.3416 0.0889 0.3127 O
0.3416 0.4111 0.3127 O
0.6584 0.5889 0.6873 O
0.6584 0.9111 0.6873 O
0.8416 0.0889 0.1873 O
0.8416 0.4111 0.1873 O
```

Principal peaks in the range 2θ = 15–90°, in order of falling intensity:
- 2θ = 31.83°, d = 2.811 Å, intensity 100, (1 2 2)
- 2θ = 32.88°, d = 2.724 Å, intensity 83, (1 1 3)
- 2θ = 21.20°, d = 4.191 Å, intensity 64, (0 2 0)
- 2θ = 27.63°, d = 3.228 Å, intensity 47, (1 2 1)
- 2θ = 25.80°, d = 3.454 Å, intensity 46, (1 1 2)
- 2θ = 31.70°, d = 2.822 Å, intensity 45, (2 0 1)
- 2θ = 33.32°, d = 2.689 Å, intensity 45, (0 3 1)
- 2θ = 27.89°, d = 3.199 Å, intensity 28, (0 2 2)
- 2θ = 49.72°, d = 1.834 Å, intensity 27, (1 4 2)
- 2θ = 17.52°, d = 5.062 Å, intensity 25, (1 0 1)
- 2θ = 29.07°, d = 3.072 Å, intensity 22, (0 1 3)
- 2θ = 30.36°, d = 2.944 Å, intensity 21, (2 0 0)

=====

This entry pairs a crystal structure of LiHC2O4 with its calculated powder diffractogram. Radiation: Cu Kα X-rays. Structure: a crystal structure in the Materials Project, relaxed with GGA-PBE.
Lines closer than 0.1° are merged.

Atomic structure:
```
LiHC2O4
1.0
3.4789 0.0000 0.0000
0.2449 6.1887 0.0000
0.7968 1.9042 6.8173
Li H C O
1 1 2 4
Direct
0.0000 0.0000 0.0000 Li
0.5034 0.9572 0.0027 H
0.0314 0.1460 0.4280 C
0.6236 0.5559 0.6610 C
0.1211 0.0882 0.5890 O
0.4916 0.6299 0.5109 O
0.7584 0.4802 0.8091 O
0.9390 0.2044 0.2681 O
```

Principal peaks in the range 2θ = 15–90°, in order of falling intensity:
- 2θ = 29.74°, d = 3.004 Å, intensity 100, (1 1 0)
- 2θ = 29.30°, d = 3.048 Å, intensity 93, (0 2 1)
- 2θ = 29.99°, d = 2.979 Å, intensity 61, (0 2 0)
- 2θ = 32.27°, d = 2.774 Å, intensity 60, (-1 1 1)
- 2θ = 16.92°, d = 5.240 Å, intensity 45, (0 1 1)
- 2θ = 22.30°, d = 3.987 Å, intensity 28, (0 1 -1)
- 2θ = 35.29°, d = 2.543 Å, intensity 18, (1 1 -1)
- 2θ = 30.19°, d = 2.960 Å, intensity 15, (1 0 -1)
- 2θ = 26.40°, d = 3.376 Å, intensity 14, (0 1 2)
- 2θ = 50.58°, d = 1.805 Å, intensity 13, (1 3 1)
- 2θ = 25.77°, d = 3.457 Å, intensity 10, (1 0 0)
- 2θ = 39.29°, d = 2.293 Å, intensity 10, (-1 1 2)